No. 1
This entry pairs a crystal structure of AcLa10Dy4 with its calculated powder X-ray diffraction pattern. Radiation: a wavelength of 1.5418 Å. Structure: the PBE geometry in Alexandria.
Lines closer than 0.1° are merged.

```
AcLa10Dy4
1.0
-6.3782 6.3782 3.5286
6.3782 -6.3782 3.5286
6.3782 6.3782 -3.5286
Ac La Dy
1 10 4
direct
0.0000 0.0000 0.0000
0.0478 0.6314 0.1625
0.1147 0.9522 0.5836
0.2500 0.7500 0.5000
0.3686 0.5311 0.4164
0.4689 0.8853 0.8375
0.5311 0.1147 0.1625
0.6314 0.4689 0.5836
0.7500 0.2500 0.5000
0.8853 0.0478 0.4164
0.9522 0.3686 0.8375
0.3251 0.4321 0.7572
0.4321 0.6749 0.1070
0.5679 0.3251 0.8930
0.6749 0.5679 0.2428
```

Peak list (8 most intense, 2θ = 10–80°, in order of falling intensity)
2.852 Å, I 100; 2.656 Å, I 85; 3.286 Å, I 75; 3.163 Å, I 51; 2.041 Å, I 37; 4.437 Å, I 34; 2.502 Å, I 31; 2.834 Å, I 31


No. 2
This entry pairs a crystal structure of NdY5In3 with its calculated powder X-ray diffraction pattern. Radiation: a wavelength of 1.5418 Å. Structure: the PBE geometry in Alexandria.
Lines closer than 0.1° are merged.

```
NdY5In3
1.0
9.4156 0.0000 0.0000
-4.7078 8.1541 0.0000
0.0000 0.0000 6.7663
Nd Y In
2 10 6
direct
0.0000 0.0000 0.0000
0.0000 0.0000 0.5000
0.0000 0.3293 0.2500
0.0000 0.6707 0.7500
0.3293 0.0000 0.2500
0.3293 0.3293 0.7500
0.3333 0.6667 0.0000
0.3333 0.6667 0.5000
0.6667 0.3333 0.0000
0.6667 0.3333 0.5000
0.6707 0.0000 0.7500
0.6707 0.6707 0.2500
0.0000 0.3409 0.7500
0.0000 0.6591 0.2500
0.3409 0.0000 0.7500
0.3409 0.3409 0.2500
0.6591 0.0000 0.2500
0.6591 0.6591 0.7500
```

Peak list (8 most intense, 2θ = 10–80°, in order of falling intensity)
2.718 Å, I 100; 2.747 Å, I 93; 1.575 Å, I 33; 1.932 Å, I 33; 1.436 Å, I 27; 1.569 Å, I 18; 1.218 Å, I 14; 1.359 Å, I 11


No. 3
This entry pairs a crystal structure of Na6B11C with its calculated powder X-ray diffraction pattern. Radiation: a wavelength of 1.5418 Å. Structure: the PBE geometry in Alexandria.
Lines closer than 0.1° are merged.

```
Na6B11C
1.0
5.1937 0.0000 0.0000
-2.5969 4.4979 0.0000
0.0000 0.0000 8.6218
Na B C
6 11 1
direct
0.0000 0.3326 0.2493
0.0000 0.3326 0.7507
0.3326 0.0000 0.2493
0.3326 0.0000 0.7507
0.6674 0.6674 0.2493
0.6674 0.6674 0.7507
0.0000 0.0000 0.0000
0.0000 0.6670 0.0000
0.0000 0.6839 0.5000
0.3161 0.3161 0.5000
0.3330 0.3330 0.0000
0.3333 0.6667 0.0000
0.3333 0.6667 0.5000
0.6670 0.0000 0.0000
0.6667 0.3333 0.0000
0.6667 0.3333 0.5000
0.6839 0.0000 0.5000
0.0000 0.0000 0.5000
```

Peak list (8 most intense, 2θ = 10–80°, in order of falling intensity)
2.224 Å, I 100; 2.155 Å, I 23; 2.597 Å, I 20; 1.499 Å, I 18; 1.231 Å, I 17; 1.257 Å, I 12; 1.243 Å, I 12; 1.659 Å, I 11